Starting from a DFT-relaxed cell (PBE, Alexandria), the PXRD pattern of CeThRu was calculated for λ = 1.5418 Å (Cu Kα).
No peak broadening, texture or thermal motion is included.

Cell and atoms:
Cell: 6.1869 7.2975 7.7847 Å, 90.00 118.24 90.00°
Positions (direct):
Ce 0.0502 0.0346 0.3284
Ce 0.0502 0.4654 0.8284
Ce 0.9498 0.5346 0.1716
Ce 0.9498 0.9654 0.6716
Th 0.4551 0.6814 0.6609
Th 0.4551 0.8186 0.1609
Th 0.5449 0.1814 0.8391
Th 0.5449 0.3186 0.3391
Ru 0.1678 0.1491 0.0063
Ru 0.1678 0.3509 0.5063
Ru 0.8322 0.6491 0.4937
Ru 0.8322 0.8509 0.9937

Largest 8 diffraction maxima, sorted by position, 5° ≤ 2θ ≤ 70°:
2θ = 28.77°, rel. 71, (0 1 2); 2θ = 29.46°, rel. 100, (1 2 0); 2θ = 30.77°, rel. 100, (2 0 -2); 2θ = 33.92°, rel. 53, (1 2 -2); 2θ = 35.38°, rel. 60, (1 2 1); 2θ = 36.82°, rel. 59, (1 1 -3); 2θ = 39.07°, rel. 48, (1 1 2); 2θ = 39.30°, rel. 54, (0 3 1)